This entry pairs a crystal structure of Y4TlSn with its calculated powder diffractogram. Radiation: copper Kα. Structure: a cell relaxed with PBE.

Main lines, in order of rising 2θ (10° ≤ 2θ ≤ 90°):
- 18.87°, d 4.702, rel. 429
- 23.09°, d 3.852, rel. 650
- 29.95°, d 2.984, rel. 402
- 30.84°, d 2.900, rel. 431
- 32.54°, d 2.751, rel. 833
- 35.42°, d 2.534, rel. 1000
- 36.33°, d 2.473, rel. 546
- 39.01°, d 2.309, rel. 649

Structural model:
Lattice parameters (Å, degrees): 8.9860 8.9860 7.4939 101.93 101.93 39.99
Element x y z (fractional)
Y 0.0533 0.8039 0.5576
Y 0.1961 0.9467 0.9424
Y 0.2267 0.4772 0.8927
Y 0.4772 0.2267 0.3927
Y 0.5228 0.7733 0.6073
Y 0.7733 0.5228 0.1073
Y 0.8039 0.0533 0.0576
Y 0.9467 0.1961 0.4424
Tl 0.0000 0.5000 0.5000
Tl 0.5000 0.0000 0.0000
Sn 0.3709 0.6291 0.2500
Sn 0.6291 0.3709 0.7500